This entry pairs a crystal structure of CuAg10Pb3O12 with its simulated powder diffractogram. Radiation: Cu Kα (λ = 1.5418 Å). Structure: a DFT-relaxed cell (GGA-PBE, Alexandria).
Intensities are scaled so that the largest is 100.

Main lines, by intensity (5 to 70 degrees two-theta):
d [Å]	two_theta	Rel. int.
2.733	32.77	100.0
2.380	37.80	77.0
2.688	33.33	66.2
2.956	30.23	41.0
1.741	52.57	35.4
2.560	35.05	32.3
1.649	55.76	29.5
1.661	55.30	29.1
3.231	27.60	15.9
1.659	55.40	15.2

Cell and atoms:
abc: 8.7600 8.7600 5.9028
angles: 109.64 109.64 71.67
Fractional positions:
1 Cu 0.0000 0.0000 0.0000
2 Ag 0.0790 0.4149 0.2441
3 Ag 0.1924 0.5406 0.8730
4 Ag 0.3264 0.1665 0.9915
5 Ag 0.3283 0.1632 0.4885
6 Ag 0.4594 0.8076 0.1270
7 Ag 0.5851 0.9210 0.7559
8 Ag 0.6996 0.0252 0.3598
9 Ag 0.8335 0.6736 0.0085
10 Ag 0.8368 0.6717 0.5115
11 Ag 0.9748 0.3004 0.6402
12 Pb 0.1519 0.8481 0.5000
13 Pb 0.4961 0.5039 0.5000
14 Pb 0.6778 0.3222 0.0000
15 O 0.0435 0.7750 0.0877
16 O 0.1050 0.0777 0.3775
17 O 0.2250 0.9565 0.9123
18 O 0.2306 0.5763 0.5227
19 O 0.4237 0.7694 0.4773
20 O 0.4282 0.3810 0.0882
21 O 0.5467 0.2587 0.5894
22 O 0.6190 0.5718 0.9118
23 O 0.7413 0.4533 0.4106
24 O 0.7541 0.0624 0.0320
25 O 0.9223 0.8950 0.6225
26 O 0.9376 0.2459 0.9680


This entry pairs a crystal structure of Hf2ScS5 with its simulated powder diffractogram. Radiation: Cu Kα (λ = 1.5418 Å). Structure: a DFT-relaxed cell (GGA-PBE, Alexandria).
Intensities are scaled so that the largest is 100.

Main lines, by intensity (5 to 70 degrees two-theta):
d [Å]	two_theta	Rel. int.
6.169	14.36	100.0
2.558	35.08	45.6
6.734	13.15	29.6
3.158	28.26	25.8
1.969	46.10	23.1
2.381	37.78	15.2
2.221	40.61	14.8
2.245	40.17	13.9
2.037	44.48	13.2
2.110	42.87	12.8

Cell and atoms:
abc: 9.1330 7.1430 6.6128
angles: 83.11 50.94 45.96
Fractional positions:
1 Hf 0.1828 0.1828 0.8172
2 Hf 0.8172 0.8172 0.1828
3 Sc 0.5000 0.5000 0.5000
4 S 0.0000 0.0000 0.0000
5 S 0.2127 0.4588 0.5412
6 S 0.4588 0.2127 0.7873
7 S 0.5412 0.7873 0.2127
8 S 0.7873 0.5412 0.4588


This entry pairs a crystal structure of Pr2SmGa4 with its simulated powder diffractogram. Radiation: Cu Kα (λ = 1.5418 Å). Structure: a DFT-relaxed cell (GGA-PBE, Alexandria).
Intensities are scaled so that the largest is 100.

Main lines, by intensity (5 to 70 degrees two-theta):
d [Å]	two_theta	Rel. int.
2.896	30.88	100.0
2.865	31.22	57.3
2.191	41.20	42.1
2.559	35.07	29.8
2.277	39.58	29.2
2.112	42.82	24.5
1.700	53.94	24.3
3.510	25.38	21.4
1.579	58.44	18.9
1.521	60.91	17.0

Cell and atoms:
abc: 9.9392 9.9392 9.9392
angles: 155.46 154.52 35.67
Fractional positions:
1 Pr 0.1839 0.1839 0.0000
2 Pr 0.8161 0.8161 0.0000
3 Sm 0.0000 0.5000 0.5000
4 Ga 0.3601 0.3601 0.0000
5 Ga 0.4352 0.9352 0.5000
6 Ga 0.5648 0.0648 0.5000
7 Ga 0.6399 0.6399 0.0000


This entry pairs a crystal structure of Pr4Al12Rh with its simulated powder diffractogram. Radiation: Cu Kα (λ = 1.5418 Å). Structure: a DFT-relaxed cell (GGA-PBE, Alexandria).
Intensities are scaled so that the largest is 100.

Main lines, by intensity (5 to 70 degrees two-theta):
d [Å]	two_theta	Rel. int.
3.126	28.56	100.0
2.552	35.16	68.9
2.210	40.83	54.7
4.421	20.09	41.6
1.805	50.58	38.4
1.563	59.11	34.9
1.977	45.90	22.7
1.398	66.94	20.0
1.474	63.09	11.4
6.252	14.17	10.4

Cell and atoms:
abc: 7.6565 7.6565 7.6565
angles: 109.47 109.47 109.47
Fractional positions:
1 Pr 0.0000 0.0000 0.5000
2 Pr 0.0000 0.5000 0.0000
3 Pr 0.5000 0.0000 0.0000
4 Pr 0.5000 0.5000 0.5000
5 Al 0.0000 0.2864 0.2864
6 Al 0.0000 0.7136 0.7136
7 Al 0.2500 0.5000 0.7500
8 Al 0.2500 0.7500 0.5000
9 Al 0.2864 0.0000 0.2864
10 Al 0.2864 0.2864 0.0000
11 Al 0.5000 0.2500 0.7500
12 Al 0.5000 0.7500 0.2500
13 Al 0.7136 0.0000 0.7136
14 Al 0.7136 0.7136 0.0000
15 Al 0.7500 0.2500 0.5000
16 Al 0.7500 0.5000 0.2500
17 Rh 0.0000 0.0000 0.0000


This entry pairs a crystal structure of Li4Tm3Ge4 with its simulated powder diffractogram. Radiation: Cu Kα (λ = 1.5418 Å). Structure: a DFT-relaxed cell (GGA-PBE, Alexandria).
Intensities are scaled so that the largest is 100.

Main lines, by intensity (5 to 70 degrees two-theta):
d [Å]	two_theta	Rel. int.
2.520	35.63	100.0
2.586	34.69	77.1
3.339	26.70	34.2
4.088	21.74	30.2
2.601	34.48	28.5
2.135	42.32	24.6
3.848	23.12	23.7
3.163	28.21	19.8
7.061	12.54	17.8
1.748	52.33	16.1

Cell and atoms:
abc: 8.0977 8.0977 8.0977
angles: 149.42 131.29 58.61
Fractional positions:
1 Li 0.0176 0.8273 0.1903
2 Li 0.3630 0.1727 0.1903
3 Li 0.6370 0.8273 0.8097
4 Li 0.9824 0.1727 0.8097
5 Tm 0.0000 0.5000 0.5000
6 Tm 0.3727 0.3727 0.0000
7 Tm 0.6273 0.6273 0.0000
8 Ge 0.2149 0.7149 0.5000
9 Ge 0.3078 0.0000 0.3078
10 Ge 0.6922 0.0000 0.6922
11 Ge 0.7851 0.2851 0.5000


This entry pairs a crystal structure of La2NdSm with its simulated powder diffractogram. Radiation: Cu Kα (λ = 1.5418 Å). Structure: a DFT-relaxed cell (GGA-PBE, Alexandria).
Intensities are scaled so that the largest is 100.

Main lines, by intensity (5 to 70 degrees two-theta):
d [Å]	two_theta	Rel. int.
3.013	29.65	100.0
2.620	34.22	34.2
1.578	58.48	29.2
1.842	49.49	24.1
2.589	34.65	16.5
1.565	59.04	14.2
1.507	61.55	12.5
1.853	49.18	12.3

Cell and atoms:
abc: 5.2403 5.2403 5.1779
angles: 90.00 90.00 90.00
Fractional positions:
1 La 0.0000 0.5000 0.0000
2 La 0.5000 0.0000 0.0000
3 Nd 0.0000 0.0000 0.5000
4 Sm 0.5000 0.5000 0.5000